Record 1
Diffraction record for MgV4Pb2O12. The PXRD pattern is computed, not measured: it uses a structure optimized by DFT (PBE+U) and a wavelength of 1.5418 Å.
Peak positions follow from Bragg's law for the DFT cell and can differ from measured ones.

The 10 most intense peaks (2θ = 15–90°), in order of rising 2θ:
2θ/deg  d [Å]  I (rel.)
18.6  4.772  100
21.3  4.172  89
27.2  3.275  53
27.7  3.219  61
29.8  3.002  49
29.9  2.988  39
32.6  2.743  34
32.9  2.722  45
39.4  2.288  37
45.8  1.980  39

Structural model:
```
MgV4Pb2O12
1.0
8.6511 -1.7829 0.0000
8.6511 1.7829 0.0000
-2.6168 0.0000 9.5447
Mg V Pb O
1 4 2 12
direct
0.0000 0.0000 0.0000 Mg
0.1638 0.1638 0.6470 V
0.4033 0.4033 0.1537 V
0.5967 0.5967 0.8463 V
0.8362 0.8362 0.3530 V
0.1444 0.1444 0.2566 Pb
0.8556 0.8556 0.7434 Pb
0.0882 0.0882 0.7663 O
0.1111 0.1111 0.4796 O
0.2666 0.2666 0.6483 O
0.3290 0.3290 0.2864 O
0.3522 0.3522 0.9826 O
0.4890 0.4890 0.8620 O
0.5110 0.5110 0.1380 O
0.6478 0.6478 0.0174 O
0.6710 0.6710 0.7136 O
0.7334 0.7334 0.3517 O
0.8889 0.8889 0.5204 O
0.9118 0.9118 0.2337 O
```

Record 2
Diffraction record for Li9Co7O16. The PXRD pattern is computed, not measured: it uses a structure optimized by DFT (PBE+U) and a wavelength of 1.5418 Å.
Peak positions follow from Bragg's law for the DFT cell and can differ from measured ones.

The 10 most intense peaks (2θ = 15–90°), in order of rising 2θ:
2θ/deg  d [Å]  I (rel.)
18.3  4.840  100
35.6  2.524  15
36.2  2.484  13
36.4  2.471  14
37.6  2.390  12
42.8  2.112  29
43.9  2.064  26
44.1  2.053  26
62.7  1.481  15
63.6  1.463  15

Structural model:
```
Li9Co7O16
1.0
2.9295 0.0000 0.0000
-0.1775 10.1034 0.0000
-1.1719 -4.3002 9.6807
Li Co O
9 7 16
direct
0.0000 0.0000 0.0000 Li
0.1160 0.9360 0.2471 Li
0.1369 0.4348 0.2528 Li
0.3742 0.3139 0.7512 Li
0.3824 0.8166 0.7588 Li
0.6176 0.1834 0.2412 Li
0.6258 0.6861 0.2488 Li
0.8631 0.5652 0.7472 Li
0.8840 0.0640 0.7529 Li
0.0000 0.5000 0.0000 Co
0.2447 0.3774 0.5040 Co
0.2584 0.8724 0.4979 Co
0.4979 0.7640 0.0032 Co
0.5021 0.2360 0.9968 Co
0.7416 0.1276 0.5021 Co
0.7553 0.6226 0.4960 Co
0.0703 0.7002 0.1094 O
0.0725 0.2263 0.1180 O
0.1651 0.1627 0.3868 O
0.2032 0.6553 0.3802 O
0.3082 0.5878 0.6151 O
0.3181 0.0932 0.6146 O
0.4403 0.0497 0.8793 O
0.4643 0.5341 0.8987 O
0.5357 0.4659 0.1013 O
0.5597 0.9503 0.1207 O
0.6819 0.9068 0.3854 O
0.6918 0.4122 0.3849 O
0.7968 0.3447 0.6198 O
0.8349 0.8373 0.6132 O
0.9275 0.7737 0.8820 O
0.9297 0.2998 0.8906 O
```

Record 3
Diffraction record for V3OF11. The PXRD pattern is computed, not measured: it uses a structure optimized by DFT (PBE+U) and a wavelength of 1.5418 Å.
Peak positions follow from Bragg's law for the DFT cell and can differ from measured ones.

The 10 most intense peaks (2θ = 15–90°), in order of rising 2θ:
2θ/deg  d [Å]  I (rel.)
18.1  4.900  59
25.2  3.528  100
33.0  2.711  10
36.7  2.450  8
39.1  2.304  11
40.6  2.222  7
48.1  1.891  16
52.7  1.738  9
54.5  1.685  13
55.8  1.649  7

Structural model:
```
V3OF11
1.0
5.4227 0.0000 0.0000
0.0000 5.2747 0.0000
-2.6541 0.0000 14.6997
V O F
6 2 22
direct
0.0840 0.0000 0.1664 V
0.2202 0.5370 0.4959 V
0.4159 0.9997 0.8337 V
0.5841 0.4997 0.1663 V
0.7798 0.0370 0.5041 V
0.9160 0.5000 0.8336 V
0.0301 0.2252 0.5192 O
0.9699 0.7252 0.4808 O
0.0462 0.0884 0.0509 F
0.0990 0.8073 0.8087 F
0.1195 0.9117 0.2824 F
0.2139 0.4111 0.3852 F
0.2327 0.3072 0.8588 F
0.2680 0.6921 0.1420 F
0.3171 0.5552 0.6156 F
0.3744 0.0857 0.7176 F
0.4004 0.1920 0.1913 F
0.4531 0.9098 0.9491 F
0.4596 0.7659 0.4779 F
0.5404 0.2659 0.5221 F
0.5469 0.4098 0.0509 F
0.5996 0.6920 0.8087 F
0.6256 0.5857 0.2824 F
0.6829 0.0552 0.3844 F
0.7320 0.1921 0.8580 F
0.7673 0.8072 0.1412 F
0.7861 0.9111 0.6148 F
0.8805 0.4117 0.7176 F
0.9010 0.3073 0.1913 F
0.9538 0.5884 0.9491 F
```